Entry 1:
# KFeCoP2O8
Theoretical powder X-ray diffraction pattern, Cu Ka. Input: a structure optimized by DFT (PBE+U).

Cell and atoms:
```
52
Lattice="5.221 0.000 0.000 0.000 14.632 0.000 -2.386 0.000 9.083" Properties=species:S:1:pos:R:3 pbc="T T T"
K 0.181 2.558 2.868
K -1.011 4.757 7.410
K 3.847 9.874 1.673
K 2.654 12.073 6.215
Fe -0.925 9.192 8.008
Fe 0.267 12.756 3.467
Fe 2.568 1.876 5.617
Fe 3.761 5.440 1.075
Co -1.026 0.698 8.750
Co 0.167 6.618 4.209
Co 2.669 8.013 4.875
Co 3.862 13.934 0.333
P 0.053 9.843 4.886
P 1.245 12.104 0.344
P 0.003 0.102 6.146
P 1.195 7.214 1.604
P 1.640 7.418 7.479
P 2.833 14.529 2.938
P 1.590 2.527 8.740
P 2.783 4.788 4.198
O -1.393 0.715 6.574
O -0.201 6.601 2.032
O -0.654 8.580 4.263
O -1.847 13.368 8.805
O -1.642 10.893 8.582
O -0.449 11.054 4.041
O 0.956 8.480 0.761
O -0.237 13.468 5.303
O -0.456 10.081 6.325
O 0.737 11.866 1.783
O 0.772 1.171 5.323
O 1.965 6.145 0.782
O 0.057 2.431 8.789
O 1.250 4.884 4.248
O 2.145 0.221 1.598
O 0.953 7.095 6.139
O 1.883 7.536 2.944
O 0.690 14.411 7.486
O 1.586 9.747 4.836
O 2.778 12.200 0.294
O 0.871 8.487 8.302
O 2.063 13.461 3.760
O 2.099 2.765 7.300
O 3.292 4.550 2.758
O 3.072 1.164 3.781
O 1.879 6.152 8.322
O 3.285 3.577 5.043
O 4.477 3.739 0.501
O 4.683 1.264 0.278
O 3.490 6.052 4.820
O 3.036 8.031 7.051
O 4.229 13.916 2.509
```

Most intense lines, 15 to 90 degrees two-theta, by angle:
h k l	2θ (°)	I/Imax
0 2 1	15.55	424
1 1 0	18.59	320
0 0 2	19.55	242
1 3 -1	25.55	568
1 3 1	28.85	1000
0 1 3	30.14	731
1 4 -1	30.30	552
0 2 3	31.99	231
1 4 -2	33.57	232
1 5 0	35.45	247
2 0 0	35.56	426
1 7 0	47.06	213

=====

Entry 2:
# LaMgFeCoO6
Theoretical powder X-ray diffraction pattern, Cu Ka. Input: a structure optimized by DFT (PBE+U).

Cell and atoms:
```
20
Lattice="5.295 0.000 0.000 0.000 5.437 0.000 -5.242 0.000 7.589" Properties=species:S:1:pos:R:3 pbc="T T T"
La 0.000 1.174 0.000
La -2.621 4.263 3.794
Mg 0.211 1.680 3.787
Mg -2.410 3.757 7.582
Fe -2.565 1.356 5.675
Fe 0.056 4.081 1.880
Co 2.701 1.368 1.907
Co 0.080 4.068 5.702
O -1.908 1.264 3.763
O -4.529 4.173 7.558
O 2.292 1.607 0.045
O -0.330 3.830 3.840
O 1.116 0.279 2.347
O -1.505 5.157 6.142
O -1.127 2.682 6.112
O 1.494 2.754 2.317
O 1.067 0.234 5.269
O 3.689 5.202 1.475
O 4.072 2.611 1.517
O 1.451 2.825 5.311
```

Most intense lines, 15 to 90 degrees two-theta, by angle:
h k l	2θ (°)	I/Imax
0 1 1	20.09	614
1 0 0	20.38	310
1 0 -2	20.52	299
0 2 0	32.95	451
1 1 1	33.31	1000
1 1 -3	33.49	978
2 0 -2	33.86	415
1 2 -2	39.09	254
2 1 -1	39.60	249
0 0 4	47.96	855
3 1 -1	60.15	325
3 1 -5	60.45	227

=====

Entry 3:
# La2FeCoO6
Theoretical powder X-ray diffraction pattern, Cu Ka. Input: a structure optimized by DFT (PBE+U).

Cell and atoms:
```
20
Lattice="5.566 0.000 0.000 0.000 5.501 0.000 -5.455 0.000 7.980" Properties=species:S:1:pos:R:3 pbc="T T T"
La -0.001 0.124 1.984
La -2.729 2.626 5.974
La 2.840 2.875 2.006
La 0.112 5.376 5.996
Fe 2.783 0.000 0.000
Fe 0.056 2.750 3.990
Co -2.727 0.000 3.990
Co 0.000 2.750 0.000
O -4.233 1.255 7.653
O -1.505 1.496 3.663
O -3.938 3.972 7.649
O -1.210 4.279 3.659
O -2.272 0.067 6.029
O 0.456 2.683 2.039
O -0.345 2.818 5.941
O 2.383 5.433 1.951
O 1.322 1.222 4.321
O 4.049 1.528 0.331
O 1.617 4.005 4.317
O 4.344 4.246 0.327
```

Most intense lines, 15 to 90 degrees two-theta, by angle:
h k l	2θ (°)	I/Imax
1 1 -1	22.73	173
1 1 1	31.88	709
1 1 -3	32.19	1000
0 2 0	32.56	318
0 2 2	39.79	226
0 0 4	45.47	207
2 2 -2	46.42	386
3 1 -1	57.00	300
3 1 -5	57.61	264
1 3 -3	57.87	117
2 2 2	66.63	106
2 2 -6	67.35	160